Theoretical X-ray powder pattern of Pr3In2NiSnIr2 for Cu Kα (λ = 1.5418 Å), from a structure optimized by DFT (GGA-PBE).
Neutral-atom scattering factors, no anomalous dispersion.

a = 4.0840 Å, b = 7.6126 Å, c = 7.6126 Å
α = 120.12°, β = 90.00°, γ = 90.00°
Positions (direct):
Pr 0.0000 0.0000 0.0000
Pr 0.0000 0.1745 0.5858
Pr 0.0000 0.5858 0.1745
In 0.5000 0.5873 0.8322
In 0.5000 0.8322 0.5873
Ni 0.0000 0.5833 0.5833
Sn 0.5000 0.3447 0.3447
Ir 0.5000 0.2543 0.9234
Ir 0.5000 0.9234 0.2543

Most intense lines, 2θ = 5–70°, sorted by position:
2theta, Rel. int.
32.2, 100
35.0, 83
36.1, 52
41.1, 32
42.5, 27
44.4, 26
58.4, 26
62.1, 19
65.9, 17
69.3, 11

Theoretical X-ray powder pattern of In2IrPd for Cu Kα (λ = 1.5418 Å), from a structure optimized by DFT (GGA-PBE).
Neutral-atom scattering factors, no anomalous dispersion.

a = 3.3052 Å, b = 10.6229 Å, c = 7.7745 Å
α = 90.00°, β = 90.00°, γ = 90.00°
Positions (direct):
In 0.0000 0.1251 0.0420
In 0.0000 0.1251 0.4580
In 0.0000 0.8749 0.5420
In 0.0000 0.8749 0.9580
In 0.5000 0.3749 0.5420
In 0.5000 0.3749 0.9580
In 0.5000 0.6251 0.0420
In 0.5000 0.6251 0.4580
Ir 0.0000 0.4725 0.2500
Ir 0.0000 0.5275 0.7500
Ir 0.5000 0.0275 0.7500
Ir 0.5000 0.9725 0.2500
Pd 0.0000 0.2476 0.7500
Pd 0.0000 0.7524 0.2500
Pd 0.5000 0.2524 0.2500
Pd 0.5000 0.7476 0.7500

Most intense lines, 2θ = 5–70°, sorted by position:
2theta, Rel. int.
36.7, 100
37.2, 50
38.7, 22
39.0, 47
41.2, 70
45.3, 19
46.7, 20
51.1, 14
55.6, 23
61.2, 13

Theoretical X-ray powder pattern of Tm3In3IrPd for Cu Kα (λ = 1.5418 Å), from a structure optimized by DFT (GGA-PBE).
Neutral-atom scattering factors, no anomalous dispersion.

a = 7.6301 Å, b = 7.6301 Å, c = 3.6002 Å
α = 90.00°, β = 90.00°, γ = 120.00°
Positions (direct):
Tm 0.0118 0.5855 0.0000
Tm 0.4145 0.4263 0.0000
Tm 0.5737 0.9882 0.0000
In 0.2353 0.0022 0.5000
In 0.7669 0.7647 0.5000
In 0.9978 0.2331 0.5000
Ir 0.3333 0.6667 0.5000
Pd 0.6667 0.3333 0.5000

Most intense lines, 2θ = 5–70°, sorted by position:
2theta, Rel. int.
13.4, 28
34.2, 100
36.0, 73
36.9, 72
41.0, 17
49.8, 18
50.7, 17
56.3, 25
63.7, 27
67.0, 19

Theoretical X-ray powder pattern of Y2In2IrPd3 for Cu Kα (λ = 1.5418 Å), from a structure optimized by DFT (GGA-PBE).
Neutral-atom scattering factors, no anomalous dispersion.

a = 4.5919 Å, b = 4.5919 Å, c = 8.9345 Å
α = 90.00°, β = 90.00°, γ = 120.00°
Positions (direct):
Y 0.0000 0.0000 0.0000
Y 0.3333 0.6667 0.4866
In 0.6667 0.3333 0.2543
In 0.6667 0.3333 0.7460
Ir 0.0000 0.0000 0.3319
Pd 0.0000 0.0000 0.6569
Pd 0.3333 0.6667 0.1518
Pd 0.3333 0.6667 0.8294

Most intense lines, 2θ = 5–70°, sorted by position:
2theta, Rel. int.
19.9, 19
22.4, 9
24.5, 9
30.1, 24
37.7, 93
39.2, 100
44.4, 14
46.6, 13
55.6, 30
67.1, 15

Theoretical X-ray powder pattern of Tm3InSn2IrPt2 for Cu Kα (λ = 1.5418 Å), from a structure optimized by DFT (GGA-PBE).
Neutral-atom scattering factors, no anomalous dispersion.

a = 3.8079 Å, b = 7.6008 Å, c = 7.6008 Å
α = 120.02°, β = 90.00°, γ = 90.00°
Positions (direct):
Tm 0.0000 0.0000 0.0000
Tm 0.0000 0.4083 0.8073
Tm 0.0000 0.8073 0.4083
In 0.5000 0.6672 0.6672
Sn 0.5000 0.1443 0.4063
Sn 0.5000 0.4063 0.1443
Ir 0.0000 0.3969 0.3969
Pt 0.5000 0.0742 0.7394
Pt 0.5000 0.7394 0.0742

Most intense lines, 2θ = 5–70°, sorted by position:
2theta, Rel. int.
23.4, 10
27.1, 11
33.3, 68
36.1, 100
41.1, 43
43.5, 29
47.8, 24
61.3, 13
64.9, 27
66.6, 28

Theoretical X-ray powder pattern of Tm3In3IrPt for Cu Kα (λ = 1.5418 Å), from a structure optimized by DFT (GGA-PBE).
Neutral-atom scattering factors, no anomalous dispersion.

a = 7.6345 Å, b = 7.6345 Å, c = 3.5872 Å
α = 90.00°, β = 90.00°, γ = 120.00°
Positions (direct):
Tm 0.0911 0.7508 0.0000
Tm 0.2492 0.3403 0.0000
Tm 0.6597 0.9089 0.0000
In 0.4339 0.0988 0.5000
In 0.6649 0.5661 0.5000
In 0.9012 0.3351 0.5000
Ir 0.3333 0.6667 0.5000
Pt 0.0000 0.0000 0.5000

Most intense lines, 2θ = 5–70°, sorted by position:
2theta, Rel. int.
13.4, 29
34.3, 100
35.9, 68
37.0, 69
40.9, 20
49.7, 17
50.9, 17
56.3, 21
63.9, 25
67.0, 18

Please write out number 5 again, unchanged.
Theoretical X-ray powder pattern of Tm3InSn2IrPt2 for Cu Kα (λ = 1.5418 Å), from a structure optimized by DFT (GGA-PBE).
Neutral-atom scattering factors, no anomalous dispersion.

a = 3.8079 Å, b = 7.6008 Å, c = 7.6008 Å
α = 120.02°, β = 90.00°, γ = 90.00°
Positions (direct):
Tm 0.0000 0.0000 0.0000
Tm 0.0000 0.4083 0.8073
Tm 0.0000 0.8073 0.4083
In 0.5000 0.6672 0.6672
Sn 0.5000 0.1443 0.4063
Sn 0.5000 0.4063 0.1443
Ir 0.0000 0.3969 0.3969
Pt 0.5000 0.0742 0.7394
Pt 0.5000 0.7394 0.0742

Most intense lines, 2θ = 5–70°, sorted by position:
2theta, Rel. int.
23.4, 10
27.1, 11
33.3, 68
36.1, 100
41.1, 43
43.5, 29
47.8, 24
61.3, 13
64.9, 27
66.6, 28